Diffraction record for ReTe2Rh. The PXRD pattern is calculated, not measured: it uses a crystal structure in Alexandria, relaxed with GGA-PBE and Cu Kα X-rays.
No peak broadening, texture or thermal motion is included.

The 6 most intense peaks (10° ≤ 2θ ≤ 90°), in order of falling intensity:
hkl, 2θ/deg, I (rel.)
0 0 1, 11.0, 100
1 1 -1, 38.7, 58
0 1 2, 32.1, 48
0 1 3, 41.0, 43
0 2 0, 46.8, 20
0 1 1, 25.5, 17

Atomic structure:
Unit cell a=2.956 b=3.878 c=8.149 alpha=90.00 beta=99.92 gamma=90.00
Space group Pm (No. 6)
Symmetry-distinct sites (fractional):
Re 0.000 0.000 0.000 x1
Te 0.160 0.000 0.336 x1
Te 0.885 0.500 0.761 x1
Rh 0.571 0.500 0.151 x1